Entry 1:
Starting from DFT lattice parameters and positions (PBE+U), the XRD peak list of MgFeF6 was calculated for Cu Kα (weighted mean of Kα1 and Kα2).
No peak broadening, texture or thermal motion is included.

Top 6 peaks for 2θ = 10–80°, most intense first:
| d [Å] | Position (°2θ) | I_rel |
| --- | --- | --- |
| 3.779 | 23.5 | 100.0 |
| 1.889 | 48.2 | 24.5 |
| 1.707 | 53.7 | 24.0 |
| 2.273 | 39.6 | 24.0 |
| 4.326 | 20.5 | 16.9 |
| 1.673 | 54.9 | 12.4 |

Crystal structure
```
8
Lattice="2.6382 1.5231 4.4798 -2.6382 1.5231 4.4798 0.0000 -3.0463 4.4798" Properties=species:S:1:pos:R:3 pbc="T T T"
Mg 0.0000 0.0000 0.0000
Fe 0.0000 0.0000 6.7196
F -0.4582 -1.4652 5.6303
F -1.4980 -0.3358 7.8090
F -1.0398 1.1294 5.6303
F 1.0398 -1.1294 7.8090
F 1.4980 0.3358 5.6303
F 0.4582 1.4652 7.8090
```


Entry 2:
Starting from DFT lattice parameters and positions (PBE+U), the XRD peak list of MgFeF5 was calculated for Cu Kα (weighted mean of Kα1 and Kα2).
No peak broadening, texture or thermal motion is included.

Top 6 peaks for 2θ = 10–80°, most intense first:
| d [Å] | Position (°2θ) | I_rel |
| --- | --- | --- |
| 3.227 | 27.6 | 100.0 |
| 3.851 | 23.1 | 87.3 |
| 1.813 | 50.3 | 38.2 |
| 3.100 | 28.8 | 35.8 |
| 4.829 | 18.4 | 35.1 |
| 1.925 | 47.2 | 32.9 |

Crystal structure
```
14
Lattice="4.3038 -3.0998 0.0000 4.3038 3.0998 0.0000 -3.3772 0.0000 6.7643" Properties=species:S:1:pos:R:3 pbc="T T T"
Mg 1.7709 2.9432 5.0732
Mg 3.4595 -2.9432 1.6911
Fe 4.3038 0.0000 0.0000
Fe 2.6152 0.0000 3.3822
F 4.0001 1.8741 0.3394
F 2.9188 1.8741 3.0428
F 0.9397 0.1937 2.4768
F -0.7489 -0.1937 5.8589
F 1.7709 0.7679 5.0732
F 3.4595 -0.7679 1.6911
F 5.9793 0.1937 0.9054
F 4.2907 -0.1937 4.2875
F 2.3115 -1.8741 3.7216
F 1.2302 -1.8741 6.4249
```


Entry 3:
Starting from DFT lattice parameters and positions (PBE+U), the XRD peak list of MgFeF5 was calculated for Cu Kα (weighted mean of Kα1 and Kα2).
No peak broadening, texture or thermal motion is included.

Top 6 peaks for 2θ = 10–80°, most intense first:
| d [Å] | Position (°2θ) | I_rel |
| --- | --- | --- |
| 3.448 | 25.8 | 100.0 |
| 3.303 | 27.0 | 70.6 |
| 4.366 | 20.3 | 59.1 |
| 3.260 | 27.4 | 57.3 |
| 1.952 | 46.5 | 39.3 |
| 4.873 | 18.2 | 27.6 |

Crystal structure
```
28
Lattice="5.1917 0.0000 0.0000 0.0000 9.7363 0.0000 -2.5275 0.0000 7.0215" Properties=species:S:1:pos:R:3 pbc="T T T"
Mg -0.5081 0.1100 1.7188
Mg -1.7719 4.7581 5.2295
Mg 4.4360 4.9782 1.7920
Mg 3.1723 9.6262 5.3027
Fe 0.5420 2.3859 4.2385
Fe 1.8057 2.4822 0.7278
Fe 0.8585 7.2540 6.2937
Fe 2.1222 7.3504 2.7829
F -0.9111 1.0772 4.0995
F 0.3527 3.7909 0.5888
F -1.7541 1.0222 6.9634
F -0.4903 3.8459 3.4527
F 0.6457 6.1845 2.4127
F -0.6180 8.4199 5.9235
F 0.8406 1.7814 2.3513
F -0.4231 3.0868 5.8620
F -0.1930 5.8140 5.6393
F 1.0708 8.7904 2.1286
F 1.5934 0.9458 4.8928
F 2.8572 3.9223 1.3821
F 3.0873 6.6495 1.1595
F 1.8236 7.9549 4.6702
F 3.2822 1.3164 1.0980
F 2.0185 3.5518 4.6087
F 3.1545 5.8904 3.5688
F 4.4183 8.7140 0.0580
F 2.3115 5.9454 6.4327
F 3.5753 8.6590 2.9220
```


Entry 4:
Starting from DFT lattice parameters and positions (PBE+U), the XRD peak list of MgFe12O12F12 was calculated for Cu Kα (weighted mean of Kα1 and Kα2).
No peak broadening, texture or thermal motion is included.

Top 6 peaks for 2θ = 10–80°, most intense first:
| d [Å] | Position (°2θ) | I_rel |
| --- | --- | --- |
| 2.617 | 34.3 | 100.0 |
| 3.331 | 26.8 | 85.6 |
| 3.526 | 25.3 | 73.0 |
| 1.749 | 52.3 | 28.6 |
| 1.752 | 52.2 | 22.5 |
| 2.273 | 39.7 | 20.5 |

Crystal structure
```
37
Lattice="9.7171 0.0000 0.0000 0.0000 3.1096 0.0000 -0.8289 0.0000 14.5043" Properties=species:S:1:pos:R:3 pbc="T T T"
Mg 0.0000 0.0000 0.0000
Fe 0.0299 0.0000 2.5910
Fe -0.1350 0.0000 7.8885
Fe 0.1861 0.0000 11.8429
Fe 2.3008 1.5548 5.2619
Fe 2.6809 1.5548 0.1169
Fe 2.3943 1.5548 9.7956
Fe 5.0126 0.0000 2.8776
Fe 4.7358 0.0000 11.9542
Fe 5.0394 0.0000 7.4785
Fe 7.0697 1.5548 0.6493
Fe 7.1131 1.5548 5.1717
Fe 7.0318 1.5548 9.8301
O 0.8700 1.5548 1.4209
O 0.8743 1.5548 11.1499
O 0.9782 0.0000 13.6822
O 1.5086 0.0000 8.8580
O 3.2727 0.0000 10.7687
O 5.5275 1.5548 1.8959
O 5.7819 1.5548 6.5690
O 5.7409 1.5548 11.4221
O 6.4452 0.0000 4.2049
O 6.2009 0.0000 9.0258
O 8.2811 0.0000 1.3231
O 8.6349 1.5548 8.6139
F 0.6948 1.5548 6.6053
F 1.4202 0.0000 4.0838
F 3.3114 0.0000 1.2778
F 3.3175 0.0000 6.1960
F 3.8489 1.5548 3.8027
F 3.3816 1.5548 13.4238
F 3.9175 1.5548 8.3444
F 5.6061 0.0000 13.8286
F 8.2182 0.0000 6.0631
F 8.1162 0.0000 10.9809
F 8.9493 1.5548 3.6892
F 8.4806 1.5548 13.3104
```


Entry 5:
Starting from DFT lattice parameters and positions (PBE+U), the XRD peak list of MgFe6O11F was calculated for Cu Kα (weighted mean of Kα1 and Kα2).
No peak broadening, texture or thermal motion is included.

Top 6 peaks for 2θ = 10–80°, most intense first:
| d [Å] | Position (°2θ) | I_rel |
| --- | --- | --- |
| 3.713 | 24.0 | 100.0 |
| 3.388 | 26.3 | 84.2 |
| 2.531 | 35.5 | 43.8 |
| 2.513 | 35.7 | 37.1 |
| 1.728 | 53.0 | 34.4 |
| 1.808 | 50.5 | 28.2 |

Crystal structure
```
19
Lattice="2.9196 0.0000 0.0000 -0.0024 7.4281 0.0000 0.0000 -3.4232 10.1636" Properties=species:S:1:pos:R:3 pbc="T T T"
Mg 0.0000 0.0000 0.0000
Fe 0.0085 -1.4518 8.2869
Fe 0.0069 5.4517 1.8764
Fe 0.0204 1.8409 5.0803
Fe 1.4683 2.2324 1.8587
Fe 1.4683 1.7633 8.3086
Fe 1.4788 -1.4146 5.0750
O 0.0054 2.0608 9.5515
O 0.0068 1.9460 0.6151
O 0.0114 1.9318 3.0759
O 0.0122 2.0059 7.0845
O 0.0182 -1.6828 6.3201
O 0.0155 5.7579 3.8271
O 1.4637 -2.7710 8.7839
O 1.4602 6.7673 1.3680
O 1.4695 -0.1816 8.3475
O 1.4690 4.1763 1.8503
O 1.4800 0.5637 5.0835
F 1.4798 3.2453 5.0694
```


Entry 6:
Starting from DFT lattice parameters and positions (PBE+U), the XRD peak list of MgFe6O6F6 was calculated for Cu Kα (weighted mean of Kα1 and Kα2).
No peak broadening, texture or thermal motion is included.

Top 6 peaks for 2θ = 10–80°, most intense first:
| d [Å] | Position (°2θ) | I_rel |
| --- | --- | --- |
| 3.377 | 26.4 | 100.0 |
| 2.587 | 34.7 | 77.1 |
| 3.092 | 28.9 | 62.3 |
| 3.699 | 24.1 | 49.6 |
| 2.655 | 33.8 | 27.9 |
| 1.660 | 55.4 | 27.4 |

Crystal structure
```
19
Lattice="3.0738 0.0000 0.0000 -0.0330 5.2376 0.0000 -0.0005 -1.3124 14.3636" Properties=species:S:1:pos:R:3 pbc="T T T"
Mg 0.0000 0.0000 0.0000
Fe 0.0172 0.2226 7.4002
Fe 0.0132 0.6758 11.5772
Fe 0.0270 0.3794 2.8101
Fe 1.5285 2.5325 0.3092
Fe 1.5362 3.0568 9.5242
Fe 1.5482 2.4479 5.0960
O 0.0145 1.8793 3.9266
O 0.0330 0.4444 13.4716
O 1.5556 -0.6665 8.2462
O 1.5518 1.0589 6.3283
O 1.5498 1.5509 10.9891
O 1.5670 0.7755 1.4772
F 0.0017 1.8658 8.6247
F -0.0044 4.1163 10.8484
F 0.0050 3.6104 5.8452
F 1.5034 3.0523 13.5413
F 1.5284 4.5789 3.6466
F 3.0286 3.6831 1.3188
```


Entry 7:
Starting from DFT lattice parameters and positions (PBE+U), the XRD peak list of MgFe6O6F6 was calculated for Cu Kα (weighted mean of Kα1 and Kα2).
No peak broadening, texture or thermal motion is included.

Top 6 peaks for 2θ = 10–80°, most intense first:
| d [Å] | Position (°2θ) | I_rel |
| --- | --- | --- |
| 3.392 | 26.3 | 100.0 |
| 3.629 | 24.5 | 79.4 |
| 2.591 | 34.6 | 27.9 |
| 2.565 | 35.0 | 25.2 |
| 2.580 | 34.8 | 24.5 |
| 2.895 | 30.9 | 23.5 |

Crystal structure
```
19
Lattice="5.0813 0.0000 0.0000 0.3597 5.7052 0.0000 0.2652 0.9135 7.7404" Properties=species:S:1:pos:R:3 pbc="T T T"
Mg 0.0000 0.0000 0.0000
Fe 0.1431 0.4994 3.9221
Fe 0.4260 2.3657 1.3421
Fe 2.6304 1.4290 6.0898
Fe 2.7858 3.3017 3.8775
Fe 2.9833 5.1598 1.6335
Fe 5.1632 4.2620 6.4393
O 1.0343 2.7545 7.2417
O 0.8917 0.4766 1.9084
O 1.6386 1.6081 4.4189
O 3.8960 5.0690 3.2417
O 4.5491 3.9184 0.5979
O 4.8520 6.1113 5.8789
F 1.2064 4.3964 4.6731
F 1.9938 3.3617 1.9383
F 2.2998 5.6515 7.3924
F 3.6513 3.2916 5.7780
F 3.4215 0.9288 0.5612
F 4.3697 2.2035 3.0429
```


Entry 8:
Starting from DFT lattice parameters and positions (PBE+U), the XRD peak list of MgFe6O11F was calculated for Cu Kα (weighted mean of Kα1 and Kα2).
No peak broadening, texture or thermal motion is included.

Top 6 peaks for 2θ = 10–80°, most intense first:
| d [Å] | Position (°2θ) | I_rel |
| --- | --- | --- |
| 3.405 | 26.2 | 100.0 |
| 3.291 | 27.1 | 95.8 |
| 2.521 | 35.6 | 33.5 |
| 2.530 | 35.5 | 32.9 |
| 1.729 | 52.9 | 28.7 |
| 2.475 | 36.3 | 26.2 |

Crystal structure
```
19
Lattice="4.8595 0.0000 0.0000 0.1465 5.5173 0.0000 0.1792 0.6611 7.4240" Properties=species:S:1:pos:R:3 pbc="T T T"
Mg 0.0000 0.0000 0.0000
Fe 2.5356 4.7890 1.2682
Fe 2.5456 3.1022 3.6400
Fe 2.7285 1.5250 6.0751
Fe 5.0149 3.9067 5.9291
Fe 4.8799 0.3470 3.5599
Fe 4.9445 2.3055 1.3626
O 0.8948 3.7277 0.3561
O 1.0053 1.9266 2.9916
O 1.5725 4.7584 2.9526
O 1.7869 3.0295 5.3711
O 1.6715 0.8729 0.4548
O 3.3335 3.2156 1.9151
O 3.5382 5.3413 6.8035
O 3.5656 1.4919 4.3323
O 4.1335 4.3045 4.2645
O 4.0795 0.4264 1.8899
O 4.2902 2.4528 6.9174
F 1.0566 5.8505 5.4236
```


Entry 9:
Starting from DFT lattice parameters and positions (PBE+U), the XRD peak list of MgFe6O6F6 was calculated for Cu Kα (weighted mean of Kα1 and Kα2).
No peak broadening, texture or thermal motion is included.

Top 6 peaks for 2θ = 10–80°, most intense first:
| d [Å] | Position (°2θ) | I_rel |
| --- | --- | --- |
| 3.369 | 26.5 | 100.0 |
| 3.735 | 23.8 | 83.1 |
| 2.591 | 34.6 | 39.9 |
| 2.617 | 34.3 | 30.2 |
| 1.509 | 61.5 | 25.4 |
| 2.506 | 35.8 | 25.2 |

Crystal structure
```
19
Lattice="5.2154 0.0000 0.0000 0.5681 5.8309 0.0000 0.3812 0.7761 7.5187" Properties=species:S:1:pos:R:3 pbc="T T T"
Mg 0.0000 0.0000 0.0000
Fe 0.3591 0.4524 3.6992
Fe 0.6884 2.5692 1.4217
Fe 2.8491 3.0209 3.7691
Fe 3.1934 5.0720 1.3780
Fe 3.0743 1.5051 5.9516
Fe 5.2073 4.3032 6.0767
O 0.9948 0.4298 1.7936
O 1.8804 1.4665 4.3002
O 2.3253 3.5065 2.0137
O 3.7653 3.3539 5.4289
O 4.7903 4.0747 0.4362
O 5.2826 6.2008 5.5688
F 1.1189 2.6196 6.8598
F 1.3498 4.3552 4.4340
F 2.6547 5.7696 7.0112
F 3.5086 0.8897 0.4714
F 4.3175 5.2678 2.9888
F 4.5852 2.1384 3.0671
```


Entry 10:
Starting from DFT lattice parameters and positions (PBE+U), the XRD peak list of MgFe4O4F4 was calculated for Cu Kα (weighted mean of Kα1 and Kα2).
No peak broadening, texture or thermal motion is included.

Top 6 peaks for 2θ = 10–80°, most intense first:
| d [Å] | Position (°2θ) | I_rel |
| --- | --- | --- |
| 3.792 | 23.5 | 100.0 |
| 3.830 | 23.2 | 94.9 |
| 3.097 | 28.8 | 54.7 |
| 3.812 | 23.3 | 44.4 |
| 1.850 | 49.3 | 36.7 |
| 2.229 | 40.5 | 36.3 |

Crystal structure
```
13
Lattice="5.3069 0.0000 0.0000 0.0583 5.4918 0.0000 0.0455 0.4277 5.7076" Properties=species:S:1:pos:R:3 pbc="T T T"
Mg 0.0000 0.0000 0.0000
Fe 0.6159 3.4707 4.1675
Fe 2.5670 0.9864 5.6116
Fe 3.0882 5.1565 2.8208
Fe 5.0460 2.4261 1.5241
O 0.9470 2.2719 5.6660
O 1.6073 5.0657 4.3834
O 3.9545 0.8811 1.3023
O 4.4613 3.6457 2.8912
F 1.3271 2.2233 2.7745
F 1.4625 4.9786 1.4132
F 4.0802 0.9063 4.2202
F 4.4635 3.7266 0.0370
```